Diffraction record for BaSm4Si3SeO12. The PXRD pattern is calculated, not measured: it uses the PBE geometry in the Materials Project and Cu Kα (weighted mean of Kα1 and Kα2).
Kinematic intensities with the Lorentz-polarization factor, no thermal factor.

Most intense lines, 2θ from 5° to 70°, sorted by position:
two_theta  d [Å]  I_rel
21.81  4.076  35.6
30.05  2.974  91.3
30.84  2.899  58.9
31.22  2.865  100.0
44.46  2.038  43.0
47.39  1.918  24.3
47.92  1.898  57.0
49.39  1.845  22.7

Structure:
Cell lengths 10.0432, 10.0432, 6.9765 Å; angles 90.00, 90.00, 120.00 degrees
Fractional positions:
Ba1 0.3333 0.6667 0.0000
Ba2 0.6667 0.3333 0.5000
Sm1 0.0154 0.7578 0.7438
Sm2 0.2422 0.2576 0.7438
Sm3 0.2576 0.0154 0.2438
Sm4 0.3333 0.6667 0.4941
Sm5 0.6667 0.3333 0.9941
Sm6 0.7424 0.9846 0.7438
Sm7 0.7578 0.7424 0.2438
Sm8 0.9846 0.2422 0.2438
Si1 0.0277 0.4045 0.7484
Si2 0.3768 0.9723 0.7484
Si3 0.4045 0.3768 0.2484
Si4 0.5955 0.6232 0.7484
Si5 0.6232 0.0277 0.2484
Si6 0.9723 0.5955 0.2484
Se1 0.0000 0.0000 0.4962
Se2 0.0000 0.0000 0.9962
O1 0.0847 0.3487 0.5575
O2 0.1015 0.3584 0.9320
O3 0.1171 0.5948 0.7240
O4 0.1569 0.6711 0.2762
O5 0.2569 0.8985 0.9320
O6 0.2640 0.9153 0.5575
O7 0.3289 0.4858 0.2762
O8 0.3487 0.2640 0.0575
O9 0.3584 0.2569 0.4320
O10 0.4052 0.5223 0.7240
O11 0.4777 0.8829 0.7240
O12 0.4858 0.1569 0.7762
O13 0.5142 0.8431 0.2762
O14 0.5223 0.1171 0.2240
O15 0.5948 0.4777 0.2240
O16 0.6416 0.7431 0.9320
O17 0.6513 0.7360 0.5575
O18 0.6711 0.5142 0.7762
O19 0.7360 0.0847 0.0575
O20 0.7431 0.1015 0.4320
O21 0.8431 0.3289 0.7762
O22 0.8829 0.4052 0.2240
O23 0.8985 0.6416 0.4320
O24 0.9153 0.6513 0.0575

Diffraction record for CeZn. The PXRD pattern is calculated, not measured: it uses the PBE geometry in the Materials Project and Cu Kα (weighted mean of Kα1 and Kα2).
Kinematic intensities with the Lorentz-polarization factor, no thermal factor.

Most intense lines, 2θ from 5° to 70°, sorted by position:
two_theta  d [Å]  I_rel
24.65  3.612  12.8
35.13  2.554  100.0
43.39  2.086  3.8
50.53  1.806  17.6
57.01  1.615  5.4
63.04  1.475  35.5

Structure:
Cell lengths 3.6122, 3.6122, 3.6122 Å; angles 90.00, 90.00, 90.00 degrees
Fractional positions:
Ce1 0.0000 0.0000 0.0000
Zn1 0.5000 0.5000 0.5000

Diffraction record for MgP6H4N12. The PXRD pattern is calculated, not measured: it uses the PBE geometry in the Materials Project and Cu Kα (weighted mean of Kα1 and Kα2).
Kinematic intensities with the Lorentz-polarization factor, no thermal factor.

Most intense lines, 2θ from 5° to 70°, sorted by position:
two_theta  d [Å]  I_rel
21.40  4.153  75.9
22.45  3.961  46.4
24.37  3.653  84.4
24.59  3.621  48.9
26.63  3.347  100.0
35.89  2.502  38.9
36.88  2.437  88.2
60.18  1.538  34.3

Structure:
Cell lengths 4.9031, 4.9031, 21.7241 Å; angles 90.00, 90.00, 59.65 degrees
Fractional positions:
Mg1 0.0000 0.0000 0.0000
Mg2 0.5000 0.5000 0.5000
P1 0.0940 0.9060 0.7110
P2 0.1590 0.1701 0.4128
P3 0.1701 0.1590 0.5872
P4 0.3299 0.3410 0.0872
P5 0.3410 0.3299 0.9128
P6 0.4060 0.5940 0.2110
P7 0.5940 0.4060 0.7890
P8 0.6590 0.6701 0.0872
P9 0.6701 0.6590 0.9128
P10 0.8299 0.8410 0.4128
P11 0.8410 0.8299 0.5872
P12 0.9060 0.0940 0.2890
H1 0.2348 0.2477 0.1873
H2 0.2477 0.2348 0.8127
H3 0.2523 0.2652 0.3127
H4 0.2652 0.2523 0.6873
H5 0.7348 0.7477 0.3127
H6 0.7477 0.7348 0.6873
H7 0.7523 0.7652 0.1873
H8 0.7652 0.7523 0.8127
N1 0.0016 0.6276 0.9341
N2 0.0817 0.9183 0.2269
N3 0.1276 0.5016 0.4341
N4 0.1293 0.1745 0.3346
N5 0.1301 0.8699 0.5626
N6 0.1745 0.1293 0.6654
N7 0.3255 0.3707 0.1654
N8 0.3699 0.6301 0.0626
N9 0.3707 0.3255 0.8346
N10 0.3724 0.9984 0.9341
N11 0.4183 0.5817 0.7269
N12 0.4984 0.8724 0.4341
N13 0.5016 0.1276 0.5659
N14 0.5817 0.4183 0.2731
N15 0.6276 0.0016 0.0659
N16 0.6293 0.6745 0.1654
N17 0.6301 0.3699 0.9374
N18 0.6745 0.6293 0.8346
N19 0.8255 0.8707 0.3346
N20 0.8699 0.1301 0.4374
N21 0.8707 0.8255 0.6654
N22 0.8724 0.4984 0.5659
N23 0.9183 0.0817 0.7731
N24 0.9984 0.3724 0.0659